For Sr3P, a DFT-relaxed cell (GGA-PBE, Alexandria) gives the simulated X-ray powder pattern in this record (CuKα).
Neutral-atom scattering factors, no anomalous dispersion.

Main lines, by intensity (10° ≤ 2θ ≤ 90°):
d = 3.121 Å, intensity 100, hkl 1 1 1; d = 2.476 Å, intensity 32, hkl 2 0 0; d = 6.880 Å, intensity 27, hkl 0 0 1; d = 1.527 Å, intensity 23, hkl 3 1 1; d = 3.440 Å, intensity 22, hkl 0 0 2; d = 2.010 Å, intensity 20, hkl 2 0 2; d = 1.919 Å, intensity 19, hkl 1 1 3; d = 4.019 Å, intensity 19, hkl 1 0 1

```
data_Sr3P
_chemical_formula_sum 'Sr3 P1'
_cell_length_a 4.952
_cell_length_b 4.952
_cell_length_c 6.880
_cell_angle_alpha 90.00
_cell_angle_beta 90.00
_cell_angle_gamma 90.00
_symmetry_space_group_name_H-M 'P 4 m m'
_symmetry_Int_Tables_number 99
loop_
_symmetry_equiv_pos_as_xyz
'x,y,z'
'-y,x,z'
'-x,-y,z'
'y,-x,z'
'-x,y,z'
'y,x,z'
'x,-y,z'
'-y,-x,z'
loop_
_atom_site_label
_atom_site_type_symbol
_atom_site_fract_x
_atom_site_fract_y
_atom_site_fract_z
Sr1 Sr 0.000 0.000 0.000
Sr2 Sr 0.000 0.500 0.454
P1 P 0.500 0.500 0.199
```

=====

For RbBa2GeSe4, a DFT-relaxed cell (GGA-PBE, Alexandria) gives the simulated X-ray powder pattern in this record (CuKα).
Neutral-atom scattering factors, no anomalous dispersion.

Main lines, by intensity (10° ≤ 2θ ≤ 90°):
d = 3.132 Å, intensity 100, hkl 2 2 0; d = 2.673 Å, intensity 60, hkl 2 0 -2; d = 3.785 Å, intensity 50, hkl 1 2 0; d = 2.255 Å, intensity 48, hkl 1 4 2; d = 2.301 Å, intensity 42, hkl 0 2 -2; d = 3.704 Å, intensity 28, hkl 0 2 2; d = 3.075 Å, intensity 27, hkl -1 2 2; d = 2.665 Å, intensity 26, hkl 3 2 2

```
data_RbBa2GeSe4
_chemical_formula_sum 'Rb2 Ba4 Ge2 Se8'
_cell_length_a 8.895
_cell_length_b 9.022
_cell_length_c 9.027
_cell_angle_alpha 61.33
_cell_angle_beta 75.08
_cell_angle_gamma 75.16
_symmetry_space_group_name_H-M 'P 1'
_symmetry_Int_Tables_number 1
loop_
_symmetry_equiv_pos_as_xyz
'x,y,z'
loop_
_atom_site_label
_atom_site_type_symbol
_atom_site_fract_x
_atom_site_fract_y
_atom_site_fract_z
Rb1 Rb 0.000 0.000 0.000
Rb2 Rb 0.000 0.490 0.507
Ba1 Ba 0.442 0.585 0.093
Ba2 Ba 0.495 0.076 0.102
Ba3 Ba 0.495 0.597 0.583
Ba4 Ba 0.938 0.512 0.017
Ge1 Ge 0.089 0.969 0.476
Ge2 Ge 0.572 0.085 0.591
Se1 Se 0.196 0.265 0.271
Se2 Se 0.196 0.767 0.771
Se3 Se 0.240 0.800 0.308
Se4 Se 0.369 0.222 0.727
Se5 Se 0.667 0.218 0.302
Se6 Se 0.667 0.796 0.726
Se7 Se 0.721 0.710 0.218
Se8 Se 0.724 0.372 0.878
```